Diffraction record for La2Zn5Ag5. The X-ray powder pattern is simulated, not measured: it uses a crystal structure in Alexandria, relaxed with PBE and a wavelength of 1.5418 Å.

Most intense lines, 2θ from 10° to 80°, sorted by position:
2θ (°), d (Å), Rel. int., hkl
27.11, 3.289, 15.5, 1 1 1
32.20, 2.780, 23.9, 0 1 3
32.88, 2.724, 15.2, 0 2 0
37.91, 2.374, 100.0, 1 1 3
38.50, 2.338, 34.7, 1 2 0
39.54, 2.279, 33.6, 2 0 0
42.94, 2.106, 14.7, 1 2 2
62.06, 1.496, 19.5, 1 3 3
67.37, 1.390, 12.7, 0 2 6
70.65, 1.333, 13.1, 3 1 3

Cell and atoms:
abc: 4.5580 5.4480 9.6976
angles: 90.00 90.00 90.00
Atoms (fractional coordinates):
La  0.0000  0.0000  0.0000
La  0.0000  0.5000  0.5000
Zn  0.5000  0.0000  0.5000
Zn  0.5000  0.2499  0.2536
Zn  0.5000  0.2499  0.7464
Zn  0.5000  0.7501  0.2536
Zn  0.5000  0.7501  0.7464
Ag  0.0000  0.0000  0.3326
Ag  0.0000  0.0000  0.6674
Ag  0.0000  0.5000  0.1761
Ag  0.0000  0.5000  0.8239
Ag  0.5000  0.5000  0.0000



Diffraction record for HfMgOsO6. The X-ray powder pattern is simulated, not measured: it uses a crystal structure in Alexandria, relaxed with PBE and a wavelength of 1.5418 Å.

Most intense lines, 2θ from 10° to 80°, sorted by position:
2θ (°), d (Å), Rel. int., hkl
19.61, 4.528, 100.0, 0 0 2
27.87, 3.201, 56.8, 1 0 2
34.35, 2.611, 43.9, 1 1 0
39.84, 2.263, 72.9, 1 1 2
44.77, 2.024, 24.1, 2 0 2
53.56, 1.711, 45.3, 1 1 4
57.63, 1.600, 19.7, 2 1 2
61.52, 1.507, 15.3, 3 0 0
65.23, 1.430, 14.4, 3 0 2
75.77, 1.255, 11.6, 3 0 4

Cell and atoms:
abc: 5.2216 5.2216 9.0639
angles: 90.00 90.00 120.00
Atoms (fractional coordinates):
Hf  0.3333  0.6667  0.2500
Hf  0.6667  0.3333  0.7500
Mg  0.0000  0.0000  0.0000
Mg  0.0000  0.0000  0.5000
Os  0.3333  0.6667  0.7500
Os  0.6667  0.3333  0.2500
O  0.0199  0.3566  0.6316
O  0.0199  0.6632  0.8684
O  0.3368  0.3566  0.8684
O  0.3368  0.9801  0.6316
O  0.3566  0.0199  0.1316
O  0.3566  0.3368  0.3684
O  0.6434  0.6632  0.6316
O  0.6434  0.9801  0.8684
O  0.6632  0.0199  0.3684
O  0.6632  0.6434  0.1316
O  0.9801  0.3368  0.1316
O  0.9801  0.6434  0.3684